Structure and calculated powder diffraction line list of La2Be6Pt9 (DFT lattice parameters and positions (GGA-PBE); Cu Kα, 1.54184 Å).
Intensities are scaled so that the largest is 100.

Top 12 peaks for 2θ from 5° to 70°, by intensity:
2θ/deg, intensity, index
36.91, 100, 2 0 0
46.06, 63, 2 0 3
32.40, 45, 1 0 3
26.57, 42, 0 0 3
67.84, 29, 2 0 6
41.92, 25, 1 1 3
66.50, 19, 2 2 0
57.07, 18, 2 1 3
18.21, 15, 1 0 0
54.72, 10, 0 0 6
63.68, 7, 3 0 3
25.45, 7, 1 0 2

Structural model:
Cell lengths 5.6240, 5.6240, 10.0646 Å; angles 90.00, 90.00, 120.00 degrees
Space group P6/mmm (No. 191)
Unique sites:
La  0.0000  0.0000  0.1964 x2
Be  0.3333  0.6667  0.1669 x4
Be  0.3333  0.6667  0.5000 x2
Pt  0.0000  0.5000  0.0000 x3
Pt  0.0000  0.5000  0.3372 x6